Record 1
Starting from a GGA-PBE-relaxed structure, the X-ray powder pattern of Li2Nd2Ge3 was simulated for a wavelength of 1.5418 Å.

Most intense lines, 5° ≤ 2θ ≤ 70°, low angle first:
- 9.44 deg, I 24
- 25.74 deg, I 22
- 33.18 deg, I 75
- 33.89 deg, I 100
- 40.67 deg, I 32
- 43.74 deg, I 20

Crystal structure
Unit cell a=9.625 b=9.625 c=6.922 alpha=90.00 beta=90.00 gamma=153.35
Positions (direct):
Li: 0.190 0.810 0.561
Li: 0.190 0.810 0.939
Li: 0.810 0.190 0.061
Li: 0.810 0.190 0.439
Nd: 0.342 0.658 0.750
Nd: 0.448 0.552 0.250
Nd: 0.552 0.448 0.750
Nd: 0.658 0.342 0.250
Ge: 0.062 0.938 0.067
Ge: 0.062 0.938 0.433
Ge: 0.280 0.720 0.250
Ge: 0.720 0.280 0.750
Ge: 0.938 0.062 0.567
Ge: 0.938 0.062 0.933

---

Record 2
Starting from a GGA-PBE-relaxed structure, the X-ray powder pattern of Y2AlRe was simulated for a wavelength of 1.5418 Å.

Most intense lines, 5° ≤ 2θ ≤ 70°, low angle first:
- 22.31 deg, I 19
- 25.82 deg, I 20
- 36.84 deg, I 100
- 43.49 deg, I 11
- 53.08 deg, I 17
- 66.35 deg, I 35

Crystal structure
Unit cell a=6.902 b=6.902 c=6.902 alpha=90.00 beta=90.00 gamma=90.00
Positions (direct):
Y: 0.000 0.000 0.000
Y: 0.000 0.500 0.500
Y: 0.250 0.250 0.250
Y: 0.250 0.750 0.750
Y: 0.500 0.000 0.500
Y: 0.500 0.500 0.000
Y: 0.750 0.250 0.750
Y: 0.750 0.750 0.250
Al: 0.000 0.000 0.500
Al: 0.000 0.500 0.000
Al: 0.500 0.000 0.000
Al: 0.500 0.500 0.500
Re: 0.250 0.250 0.750
Re: 0.250 0.750 0.250
Re: 0.750 0.250 0.250
Re: 0.750 0.750 0.750

---

Record 3
Starting from a GGA-PBE-relaxed structure, the X-ray powder pattern of Zn4Sn3 was simulated for a wavelength of 1.5418 Å.

Most intense lines, 5° ≤ 2θ ≤ 70°, low angle first:
- 28.22 deg, I 15
- 32.55 deg, I 29
- 37.46 deg, I 26
- 37.69 deg, I 100
- 50.45 deg, I 17
- 67.73 deg, I 18

Crystal structure
Unit cell a=8.404 b=8.404 c=4.802 alpha=90.00 beta=90.00 gamma=120.00
Positions (direct):
Zn: 0.043 0.836 0.250
Zn: 0.164 0.207 0.250
Zn: 0.207 0.043 0.750
Zn: 0.333 0.667 0.250
Zn: 0.667 0.333 0.750
Zn: 0.793 0.957 0.250
Zn: 0.836 0.793 0.750
Zn: 0.957 0.164 0.750
Sn: 0.087 0.642 0.750
Sn: 0.358 0.446 0.750
Sn: 0.446 0.087 0.250
Sn: 0.554 0.913 0.750
Sn: 0.642 0.554 0.250
Sn: 0.913 0.358 0.250

---

Record 4
Starting from a GGA-PBE-relaxed structure, the X-ray powder pattern of DyH3 was simulated for a wavelength of 1.5418 Å.

Most intense lines, 5° ≤ 2θ ≤ 70°, low angle first:
- 27.35 deg, I 33
- 28.39 deg, I 22
- 31.60 deg, I 100
- 39.83 deg, I 17
- 51.08 deg, I 27
- 58.13 deg, I 16

Crystal structure
Unit cell a=3.623 b=6.298 c=6.523 alpha=90.00 beta=90.00 gamma=90.00
Positions (direct):
Dy: 0.000 0.167 0.250
Dy: 0.000 0.833 0.750
Dy: 0.500 0.333 0.750
Dy: 0.500 0.667 0.250
H: 0.000 0.166 0.594
H: 0.000 0.166 0.906
H: 0.000 0.500 0.250
H: 0.000 0.500 0.750
H: 0.000 0.834 0.094
H: 0.000 0.834 0.406
H: 0.500 0.000 0.250
H: 0.500 0.000 0.750
H: 0.500 0.334 0.094
H: 0.500 0.334 0.406
H: 0.500 0.666 0.594
H: 0.500 0.666 0.906

---

Record 5
Starting from a GGA-PBE-relaxed structure, the X-ray powder pattern of K2MgCdAs2 was simulated for a wavelength of 1.5418 Å.

Most intense lines, 5° ≤ 2θ ≤ 70°, low angle first:
- 11.12 deg, I 91
- 22.54 deg, I 59
- 29.86 deg, I 72
- 30.00 deg, I 42
- 35.94 deg, I 100
- 39.68 deg, I 64

Crystal structure
Unit cell a=4.543 b=4.543 c=7.954 alpha=90.00 beta=90.00 gamma=90.00
Positions (direct):
K: 0.000 0.500 0.144
K: 0.500 0.000 0.856
Mg: 0.000 0.000 0.500
Cd: 0.500 0.500 0.500
As: 0.000 0.500 0.702
As: 0.500 0.000 0.298

---

Record 6
Starting from a GGA-PBE-relaxed structure, the X-ray powder pattern of TbCdNO was simulated for a wavelength of 1.5418 Å.

Most intense lines, 5° ≤ 2θ ≤ 70°, low angle first:
- 25.91 deg, I 27
- 27.67 deg, I 29
- 31.73 deg, I 100
- 33.21 deg, I 27
- 36.46 deg, I 32
- 47.88 deg, I 26

Crystal structure
Unit cell a=8.128 b=6.448 c=4.929 alpha=90.00 beta=90.00 gamma=90.00
Positions (direct):
Tb: 0.136 0.066 0.250
Tb: 0.136 0.434 0.750
Tb: 0.864 0.566 0.250
Tb: 0.864 0.934 0.750
Cd: 0.370 0.566 0.250
Cd: 0.370 0.934 0.750
Cd: 0.630 0.066 0.250
Cd: 0.630 0.434 0.750
N: 0.121 0.083 0.750
N: 0.121 0.417 0.250
N: 0.879 0.583 0.750
N: 0.879 0.917 0.250
O: 0.384 0.584 0.750
O: 0.384 0.916 0.250
O: 0.616 0.084 0.750
O: 0.616 0.416 0.250

---

Record 7
Starting from a GGA-PBE-relaxed structure, the X-ray powder pattern of AlGa3Pd4 was simulated for a wavelength of 1.5418 Å.

Most intense lines, 5° ≤ 2θ ≤ 70°, low angle first:
- 25.47 deg, I 14
- 31.32 deg, I 13
- 36.32 deg, I 10
- 40.79 deg, I 100
- 44.89 deg, I 51
- 62.25 deg, I 11

Crystal structure
Unit cell a=4.946 b=4.946 c=4.946 alpha=90.02 beta=90.02 gamma=90.02
Positions (direct):
Al: 0.000 0.000 0.000
Ga: 0.185 0.500 0.689
Ga: 0.500 0.689 0.185
Ga: 0.689 0.185 0.500
Pd: 0.198 0.988 0.488
Pd: 0.488 0.198 0.988
Pd: 0.701 0.701 0.701
Pd: 0.988 0.488 0.198